Diffraction record for Dy2Tm4LuNi2Te2. The powder diffraction line list is simulated, not measured: it uses a cell relaxed with PBE and Cu Kα (weighted mean of Kα1 and Kα2).
Neutral-atom scattering factors, no anomalous dispersion.

Principal peaks in the range 2θ = 15–90°, in order of rising 2θ:
| d/Å | I/Imax |
| --- | --- |
| 3.066 | 22 |
| 2.923 | 76 |
| 2.689 | 81 |
| 2.607 | 100 |
| 2.574 | 53 |
| 2.566 | 25 |
| 2.435 | 23 |
| 1.911 | 30 |
| 1.768 | 27 |
| 1.558 | 31 |

Structural model:
Unit cell a=3.8229 b=15.3946 c=9.4727 alpha=90.00 beta=90.00 gamma=90.00
Space group Imm2 (No. 44)
Symmetry-distinct sites (fractional):
1 Dy 0.0000 0.1462 0.0000
2 Tm 0.0000 0.1849 0.6477
3 Tm 0.0000 0.3655 0.8531
4 Lu 0.0000 0.5000 0.2711
5 Ni 0.0000 0.2634 0.3397
6 Te 0.0000 0.0000 0.5043
7 Te 0.0000 0.5000 0.6102

***

Diffraction record for DyTm4Lu2Ni2Te2. The powder diffraction line list is simulated, not measured: it uses a cell relaxed with PBE and Cu Kα (weighted mean of Kα1 and Kα2).
Neutral-atom scattering factors, no anomalous dispersion.

Principal peaks in the range 2θ = 15–90°, in order of rising 2θ:
| d/Å | I/Imax |
| --- | --- |
| 3.057 | 22 |
| 2.914 | 74 |
| 2.681 | 82 |
| 2.600 | 100 |
| 2.566 | 53 |
| 2.556 | 24 |
| 2.428 | 23 |
| 1.907 | 29 |
| 1.762 | 27 |
| 1.554 | 37 |

Structural model:
Unit cell a=3.8144 b=15.3346 c=9.4445 alpha=90.00 beta=90.00 gamma=90.00
Space group Imm2 (No. 44)
Symmetry-distinct sites (fractional):
1 Dy 0.0000 0.0000 0.0000
2 Tm 0.0000 0.1346 0.5814
3 Tm 0.0000 0.3144 0.3762
4 Lu 0.0000 0.3532 0.7285
5 Ni 0.0000 0.2360 0.0695
6 Te 0.0000 0.0000 0.3382
7 Te 0.0000 0.5000 0.2325